This entry pairs a crystal structure of Zn2Bi6Ru8O27 with its theoretical XRD peak list. Radiation: Cu Kα (λ = 1.5418 Å). Structure: DFT lattice parameters and positions (GGA-PBE).
Neutral-atom scattering factors, no anomalous dispersion.

Atomic structure:
```
data_Zn2Bi6Ru8O27
_chemical_formula_sum 'Zn2 Bi6 Ru8 O27'
_cell_length_a 7.279
_cell_length_b 7.279
_cell_length_c 10.318
_cell_angle_alpha 90.47
_cell_angle_beta 90.47
_cell_angle_gamma 89.94
_symmetry_space_group_name_H-M 'P 1'
_symmetry_Int_Tables_number 1
loop_
_symmetry_equiv_pos_as_xyz
'x,y,z'
loop_
_atom_site_label
_atom_site_fract_x
_atom_site_fract_y
_atom_site_fract_z
_atom_site_occupancy
Zn1 0.097 0.097 0.124 1
Zn2 0.903 0.903 0.876 1
Bi1 0.145 0.606 0.119 1
Bi2 0.394 0.855 0.881 1
Bi3 0.406 0.335 0.363 1
Bi4 0.664 0.090 0.630 1
Bi5 0.665 0.594 0.637 1
Bi6 0.910 0.336 0.370 1
Ru1 0.158 0.594 0.625 1
Ru2 0.159 0.091 0.625 1
Ru3 0.406 0.842 0.375 1
Ru4 0.407 0.343 0.875 1
Ru5 0.653 0.089 0.127 1
Ru6 0.657 0.593 0.125 1
Ru7 0.909 0.841 0.375 1
Ru8 0.911 0.347 0.873 1
O1 0.155 0.334 0.217 1
O2 0.157 0.840 0.288 1
O3 0.160 0.342 0.554 1
O4 0.160 0.354 0.936 1
O5 0.160 0.843 0.712 1
O6 0.352 0.648 0.500 1
O7 0.354 0.043 0.498 1
O8 0.368 0.128 0.751 1
O9 0.369 0.552 0.751 1
O10 0.448 0.631 0.249 1
O11 0.460 0.540 0.000 1
O12 0.463 0.053 0.257 1
O13 0.467 0.137 0.993 1
O14 0.646 0.840 0.064 1
O15 0.658 0.341 0.790 1
O16 0.658 0.342 0.500 1
O17 0.658 0.840 0.446 1
O18 0.659 0.342 0.210 1
O19 0.666 0.845 0.783 1
O20 0.863 0.533 0.007 1
O21 0.867 0.053 0.251 1
O22 0.872 0.632 0.249 1
O23 0.873 0.127 0.000 1
O24 0.947 0.133 0.749 1
O25 0.947 0.537 0.743 1
O26 0.954 0.046 0.500 1
O27 0.957 0.646 0.502 1
```

Main lines, in order of rising 2θ (2θ from 10° to 80°):
2θ/deg, Rel. int.
15.0, 12
29.9, 100
30.2, 97
34.8, 69
49.7, 15
50.1, 56
50.4, 14
59.3, 28
59.5, 13
59.7, 39